Theoretical powder XRD pattern
Compound: ErGeHO4
Radiation: CuKα
Structure: a PBE-relaxed structure
Lines closer than 0.1° are merged.

Most intense lines, 2θ from 15° to 90°, in order of falling intensity:
- 34.74°, I 100, (2 0 0)
- 26.65°, I 92, (1 1 1)
- 47.34°, I 35, (2 4 0)
- 31.14°, I 26, (0 4 0)
- 49.81°, I 22, (0 4 2)
- 52.33°, I 20, (2 0 2)
- 62.16°, I 18, (2 4 2)
- 24.31°, I 18, (0 2 1)
- 62.52°, I 17, (1 7 1)
- 62.28°, I 16, (3 3 1)

Crystal structure
Cell: 5.1644 11.4878 4.7515 Å, 90.00 90.00 90.00°
Element x y z (fractional)
1 Er 0.0000 0.1189 0.2500
2 Er 0.0000 0.8811 0.7500
3 Er 0.5000 0.3811 0.7500
4 Er 0.5000 0.6189 0.2500
5 Ge 0.0000 0.3932 0.2500
6 Ge 0.0000 0.6068 0.7500
7 Ge 0.5000 0.1068 0.7500
8 Ge 0.5000 0.8932 0.2500
9 H 0.0000 0.2975 0.7500
10 H 0.0000 0.7025 0.2500
11 H 0.5000 0.2025 0.2500
12 H 0.5000 0.7975 0.7500
13 O 0.1220 0.2963 0.5255
14 O 0.1220 0.7037 0.0255
15 O 0.2364 0.0405 0.5870
16 O 0.2364 0.9595 0.0870
17 O 0.2636 0.4595 0.0870
18 O 0.2636 0.5405 0.5870
19 O 0.3780 0.2037 0.0255
20 O 0.3780 0.7963 0.5255
21 O 0.6220 0.2037 0.4745
22 O 0.6220 0.7963 0.9745
23 O 0.7364 0.4595 0.4130
24 O 0.7364 0.5405 0.9130
25 O 0.7636 0.0405 0.9130
26 O 0.7636 0.9595 0.4130
27 O 0.8780 0.2963 0.9745
28 O 0.8780 0.7037 0.4745

***

Theoretical powder XRD pattern
Compound: ErGeHO4
Radiation: CuKα
Structure: a PBE-relaxed structure
Lines closer than 0.1° are merged.

Most intense lines, 2θ from 15° to 90°, in order of falling intensity:
- 26.21°, I 100, (1 0 -2)
- 24.85°, I 91, (2 0 0)
- 30.46°, I 53, (1 2 -1)
- 35.61°, I 52, (2 2 -1)
- 34.81°, I 48, (1 2 1)
- 30.15°, I 46, (0 2 1)
- 18.09°, I 45, (1 1 0)
- 53.17°, I 29, (3 2 -3)
- 54.81°, I 28, (4 2 -1)
- 35.37°, I 26, (1 0 2)

Crystal structure
Cell: 7.7727 6.7235 6.8112 Å, 90.00 112.77 90.00°
Element x y z (fractional)
1 Er 0.2040 0.1414 0.0992
2 Er 0.2040 0.3586 0.5992
3 Er 0.7960 0.6414 0.4008
4 Er 0.7960 0.8586 0.9008
5 Ge 0.2425 0.6060 0.1253
6 Ge 0.2425 0.8940 0.6253
7 Ge 0.7575 0.1060 0.3747
8 Ge 0.7575 0.3940 0.8747
9 H 0.4734 0.6894 0.8865
10 H 0.4734 0.8106 0.3865
11 H 0.5266 0.1894 0.6135
12 H 0.5266 0.3106 0.1135
13 O 0.1043 0.6819 0.5489
14 O 0.1043 0.8181 0.0489
15 O 0.1823 0.0772 0.7693
16 O 0.1823 0.4228 0.2693
17 O 0.2808 0.0455 0.4363
18 O 0.2808 0.4545 0.9363
19 O 0.4745 0.6976 0.2940
20 O 0.4745 0.8024 0.7940
21 O 0.5255 0.1976 0.2060
22 O 0.5255 0.3024 0.7060
23 O 0.7192 0.5455 0.0637
24 O 0.7192 0.9545 0.5637
25 O 0.8177 0.5772 0.7307
26 O 0.8177 0.9228 0.2307
27 O 0.8957 0.1819 0.9511
28 O 0.8957 0.3181 0.4511